This entry pairs a crystal structure of Tb5Cu4Rh with its calculated X-ray powder pattern. Radiation: Cu Kα. Structure: DFT lattice parameters and positions (PBE).
Neutral-atom scattering factors, no anomalous dispersion.

```
Tb5Cu4Rh
1.0
3.4729 0.0000 0.0000
0.0000 3.4729 0.0000
0.0000 0.0000 17.4527
Tb Cu Rh
5 4 1
direct
0.0000 0.0000 0.0000
0.0000 0.0000 0.2014
0.0000 0.0000 0.4034
0.0000 0.0000 0.5966
0.0000 0.0000 0.7986
0.5000 0.5000 0.0998
0.5000 0.5000 0.3010
0.5000 0.5000 0.6990
0.5000 0.5000 0.9002
0.5000 0.5000 0.5000
```

The 10 most intense peaks (10 to 90 degrees two-theta), sorted by position:
h k l, 2θ/deg, intensity
0 0 5, 25.52, 5
1 0 0, 25.65, 10
1 1 0, 36.53, 100
0 0 10, 52.43, 6
2 0 0, 52.71, 12
1 1 10, 65.63, 12
2 1 5, 65.81, 23
2 0 10, 77.55, 7
1 0 15, 88.66, 5
3 1 0, 89.14, 10